No. 1
CaDyMn4O12: calculated powder XRD pattern (Cu Kα), based on a crystal structure in Alexandria, relaxed with PBE+U.
Neutral-atom scattering factors, no anomalous dispersion.

Structural model:
Cell: 7.5590 5.2683 5.2683 Å, 88.89 90.00 90.00°
Element x y z (fractional)
Ca: 0.0000 0.0000 0.0000
Dy: 0.5000 0.5439 0.5439
Mn: 0.2478 0.0215 0.5160
Mn: 0.2478 0.5160 0.0215
Mn: 0.7522 0.0215 0.5160
Mn: 0.7522 0.5160 0.0215
O: 0.0000 0.0689 0.4648
O: 0.0000 0.4648 0.0689
O: 0.2160 0.7096 0.7096
O: 0.2522 0.2132 0.8199
O: 0.2522 0.8199 0.2132
O: 0.2989 0.3222 0.3222
O: 0.5000 0.5538 0.9675
O: 0.5000 0.9675 0.5538
O: 0.7011 0.3222 0.3222
O: 0.7478 0.2132 0.8199
O: 0.7478 0.8199 0.2132
O: 0.7840 0.7096 0.7096

Peak list (10 most intense, 2θ from 15° to 90°, most intense first)
| 2θ/deg | d [Å] | I/Imax |
| --- | --- | --- |
| 20.6 | 4.322 | 100 |
| 34.0 | 2.637 | 92 |
| 33.6 | 2.666 | 38 |
| 16.8 | 5.267 | 26 |
| 39.7 | 2.273 | 21 |
| 61.1 | 1.517 | 20 |
| 48.2 | 1.890 | 20 |
| 60.3 | 1.535 | 19 |
| 60.4 | 1.532 | 18 |
| 40.4 | 2.233 | 18 |

=====

No. 2
CaDyMnSnO6: calculated powder XRD pattern (Cu Kα), based on a crystal structure in Alexandria, relaxed with PBE+U.
Neutral-atom scattering factors, no anomalous dispersion.

Structural model:
Cell: 5.5150 5.5178 8.7713 Å, 95.05 91.41 92.36°
Element x y z (fractional)
Ca: 0.0000 0.0000 0.0000
Ca: 0.5000 0.5000 0.5000
Dy: 0.0540 0.5250 0.2223
Dy: 0.9460 0.4750 0.7777
Mn: 0.0000 0.0000 0.5000
Mn: 0.5000 0.5000 0.0000
Sn: 0.4553 0.0122 0.7196
Sn: 0.5447 0.9878 0.2804
O: 0.1303 0.8411 0.7589
O: 0.1846 0.3605 0.9646
O: 0.2103 0.2532 0.6159
O: 0.2825 0.8286 0.4247
O: 0.3512 0.7819 0.1096
O: 0.3801 0.3064 0.2698
O: 0.6199 0.6936 0.7302
O: 0.6488 0.2181 0.8904
O: 0.7175 0.1714 0.5753
O: 0.7897 0.7468 0.3841
O: 0.8154 0.6395 0.0354
O: 0.8697 0.1589 0.2411

Peak list (10 most intense, 2θ from 15° to 90°, most intense first)
| 2θ/deg | d [Å] | I/Imax |
| --- | --- | --- |
| 32.5 | 2.758 | 100 |
| 29.7 | 3.007 | 81 |
| 29.9 | 2.993 | 70 |
| 31.1 | 2.877 | 66 |
| 32.6 | 2.746 | 50 |
| 20.3 | 4.367 | 46 |
| 22.4 | 3.976 | 38 |
| 41.3 | 2.184 | 31 |
| 23.4 | 3.807 | 30 |
| 18.3 | 4.848 | 29 |